Simulated X-ray diffraction stick pattern of Ac6Sm2Y3 for CuKα, from a cell relaxed with GGA-PBE.
No peak broadening, texture or thermal motion is included.

Largest 10 diffraction maxima, by intensity, 10 to 80 degrees two-theta:
- 3.105 Å, 28.75 deg, rel. 100.0
- 2.652 Å, 33.80 deg, rel. 43.7
- 2.968 Å, 30.11 deg, rel. 29.5
- 1.913 Å, 47.54 deg, rel. 25.6
- 5.935 Å, 14.93 deg, rel. 22.9
- 2.669 Å, 33.58 deg, rel. 22.6
- 1.850 Å, 49.25 deg, rel. 15.5
- 3.253 Å, 27.42 deg, rel. 11.5
- 1.627 Å, 56.59 deg, rel. 10.5
- 1.613 Å, 57.11 deg, rel. 10.0

Cell: 6.6216 6.6216 12.0600 Å, 95.08 95.08 119.87°
Sites, in units of the cell vectors:
1 Ac 0.0854 0.4176 0.7483
2 Ac 0.2465 0.2465 0.2550
3 Ac 0.4176 0.0854 0.7483
4 Ac 0.5824 0.9146 0.2517
5 Ac 0.7535 0.7535 0.7450
6 Ac 0.9146 0.5824 0.2517
7 Sm 0.3313 0.6687 0.5000
8 Sm 0.6687 0.3313 0.5000
9 Y 0.1662 0.8338 0.0000
10 Y 0.5000 0.5000 0.0000
11 Y 0.8338 0.1662 0.0000

---

Simulated X-ray diffraction stick pattern of Ac4Sm3Y4 for CuKα, from a cell relaxed with GGA-PBE.
No peak broadening, texture or thermal motion is included.

Largest 10 diffraction maxima, by intensity, 10 to 80 degrees two-theta:
- 3.035 Å, 29.43 deg, rel. 100.0
- 2.966 Å, 30.13 deg, rel. 93.0
- 2.921 Å, 30.61 deg, rel. 52.2
- 2.907 Å, 30.76 deg, rel. 47.4
- 2.060 Å, 43.94 deg, rel. 39.2
- 1.572 Å, 58.72 deg, rel. 28.5
- 1.683 Å, 54.54 deg, rel. 20.2
- 1.689 Å, 54.30 deg, rel. 19.1
- 1.702 Å, 53.87 deg, rel. 18.8
- 1.302 Å, 72.64 deg, rel. 17.6

Cell: 19.1861 19.1861 3.7085 Å, 90.05 90.05 17.43°
Sites, in units of the cell vectors:
1 Ac 0.0000 0.0000 0.0000
2 Ac 0.1866 0.1866 0.5012
3 Ac 0.3692 0.3692 0.9987
4 Ac 0.5577 0.5577 0.5004
5 Sm 0.2800 0.2800 0.4982
6 Sm 0.6454 0.6454 0.0009
7 Sm 0.9130 0.9130 0.4990
8 Y 0.0992 0.0992 0.0012
9 Y 0.4586 0.4586 0.4996
10 Y 0.7412 0.7412 0.9988
11 Y 0.8223 0.8223 0.4990

---

Simulated X-ray diffraction stick pattern of Ac6Sm3Y for CuKα, from a cell relaxed with GGA-PBE.
No peak broadening, texture or thermal motion is included.

Largest 10 diffraction maxima, by intensity, 10 to 80 degrees two-theta:
- 3.098 Å, 28.81 deg, rel. 100.0
- 3.025 Å, 29.53 deg, rel. 97.9
- 2.955 Å, 30.25 deg, rel. 91.2
- 3.145 Å, 28.38 deg, rel. 71.1
- 2.905 Å, 30.78 deg, rel. 60.7
- 2.971 Å, 30.08 deg, rel. 56.4
- 3.166 Å, 28.19 deg, rel. 39.8
- 1.626 Å, 56.60 deg, rel. 33.9
- 1.615 Å, 57.02 deg, rel. 33.2
- 1.910 Å, 47.61 deg, rel. 32.1

Cell: 12.7686 3.8202 17.0679 Å, 90.00 103.92 90.00°
Sites, in units of the cell vectors:
1 Ac 0.1080 0.2500 0.3561
2 Ac 0.1113 0.7500 0.9589
3 Ac 0.1587 0.2500 0.7624
4 Ac 0.3459 0.2500 0.1110
5 Ac 0.3643 0.7500 0.3171
6 Ac 0.3686 0.2500 0.5223
7 Ac 0.6314 0.7500 0.4777
8 Ac 0.6357 0.2500 0.6829
9 Ac 0.6541 0.7500 0.8890
10 Ac 0.8413 0.7500 0.2376
11 Ac 0.8887 0.2500 0.0411
12 Ac 0.8920 0.7500 0.6439
13 Sm 0.1123 0.7500 0.1706
14 Sm 0.3840 0.7500 0.9259
15 Sm 0.3894 0.7500 0.7116
16 Sm 0.6106 0.2500 0.2884
17 Sm 0.6160 0.2500 0.0741
18 Sm 0.8877 0.2500 0.8294
19 Y 0.1232 0.7500 0.5549
20 Y 0.8768 0.2500 0.4451

---

Simulated X-ray diffraction stick pattern of AcSm4Y7 for CuKα, from a cell relaxed with GGA-PBE.
No peak broadening, texture or thermal motion is included.

Largest 10 diffraction maxima, by intensity, 10 to 80 degrees two-theta:
- 2.854 Å, 31.35 deg, rel. 100.0
- 2.716 Å, 32.98 deg, rel. 61.9
- 2.920 Å, 30.62 deg, rel. 51.1
- 3.146 Å, 28.37 deg, rel. 38.8
- 2.708 Å, 33.08 deg, rel. 30.5
- 1.831 Å, 49.80 deg, rel. 25.9
- 1.550 Å, 59.65 deg, rel. 22.5
- 1.552 Å, 59.56 deg, rel. 15.5
- 1.703 Å, 53.83 deg, rel. 14.1
- 3.080 Å, 28.99 deg, rel. 13.8

Cell: 6.3315 7.3230 9.0160 Å, 90.01 103.71 90.18°
Sites, in units of the cell vectors:
1 Ac 0.0000 0.0000 0.0000
2 Sm 0.2208 0.4991 0.6655
3 Sm 0.2797 0.7475 0.3367
4 Sm 0.7203 0.2525 0.6633
5 Sm 0.7792 0.5009 0.3345
6 Y 0.0000 0.5000 0.0000
7 Y 0.2231 0.9989 0.6623
8 Y 0.2805 0.2533 0.3354
9 Y 0.4992 0.7474 0.0003
10 Y 0.5008 0.2526 0.9997
11 Y 0.7195 0.7467 0.6646
12 Y 0.7769 0.0011 0.3377